Calculated PXRD pattern
Compound: CePm3
Radiation: Cu Kα (weighted mean of Kα1 and Kα2)
Structure: a structure optimized by DFT (PBE)

Cell and atoms:
```
data_CePm3
_chemical_formula_sum 'Ce2 Pm6'
_cell_length_a 5.1469
_cell_length_b 5.1469
_cell_length_c 10.3856
_cell_angle_alpha 90.00
_cell_angle_beta 90.00
_cell_angle_gamma 90.00
_symmetry_space_group_name_H-M 'I 4/m m m'
_symmetry_Int_Tables_number 139
_symmetry_space_group_name_Hall '-I 4 2'
loop_
_atom_site_label
_atom_site_fract_x
_atom_site_fract_y
_atom_site_fract_z
Ce1 0.0000 0.0000 0.0000
Pm1 0.0000 0.0000 0.5000
Pm2 0.0000 0.5000 0.2500
```

Principal peaks in the range 10° ≤ 2θ ≤ 90°, sorted by position:
- d 2.980, intensity 100
- d 2.596, intensity 17
- d 2.573, intensity 34
- d 1.828, intensity 24
- d 1.563, intensity 15
- d 1.553, intensity 29

=====

Calculated PXRD pattern
Compound: CePm3
Radiation: Cu Kα (weighted mean of Kα1 and Kα2)
Structure: a structure optimized by DFT (PBE)

Cell and atoms:
```
data_CePm3
_chemical_formula_sum 'Ce2 Pm6'
_cell_length_a 7.3388
_cell_length_b 7.3388
_cell_length_c 5.9829
_cell_angle_alpha 90.00
_cell_angle_beta 90.00
_cell_angle_gamma 120.00
_symmetry_space_group_name_H-M 'P 63/m m c'
_symmetry_Int_Tables_number 194
_symmetry_space_group_name_Hall '-P 6c 2c'
loop_
_atom_site_label
_atom_site_fract_x
_atom_site_fract_y
_atom_site_fract_z
Ce1 0.3333 0.6667 0.2500
Pm1 0.1669 0.3338 0.7500
```

Principal peaks in the range 10° ≤ 2θ ≤ 90°, sorted by position:
- d 3.178, intensity 23
- d 2.991, intensity 26
- d 2.806, intensity 100
- d 1.835, intensity 19
- d 1.689, intensity 22
- d 1.564, intensity 23

=====

Calculated PXRD pattern
Compound: Ce3Pm
Radiation: Cu Kα (weighted mean of Kα1 and Kα2)
Structure: a structure optimized by DFT (PBE)

Cell and atoms:
```
data_Ce3Pm
_chemical_formula_sum 'Ce3 Pm1'
_cell_length_a 4.8339
_cell_length_b 4.8339
_cell_length_c 4.8339
_cell_angle_alpha 90.00
_cell_angle_beta 90.00
_cell_angle_gamma 90.00
_symmetry_space_group_name_H-M 'P m -3 m'
_symmetry_Int_Tables_number 221
_symmetry_space_group_name_Hall '-P 4 2 3'
loop_
_atom_site_label
_atom_site_fract_x
_atom_site_fract_y
_atom_site_fract_z
Ce1 0.0000 0.0000 0.5000
Pm1 0.5000 0.5000 0.5000
```

Principal peaks in the range 10° ≤ 2θ ≤ 90°, sorted by position:
- d 2.791, intensity 100
- d 2.417, intensity 50
- d 1.709, intensity 35
- d 1.457, intensity 41
- d 1.395, intensity 12
- d 1.109, intensity 18

=====

Calculated PXRD pattern
Compound: CePr3
Radiation: Cu Kα (weighted mean of Kα1 and Kα2)
Structure: a structure optimized by DFT (PBE)

Cell and atoms:
```
data_CePr3
_chemical_formula_sum 'Ce1 Pr3'
_cell_length_a 5.2139
_cell_length_b 5.2139
_cell_length_c 5.2139
_cell_angle_alpha 90.00
_cell_angle_beta 90.00
_cell_angle_gamma 90.00
_symmetry_space_group_name_H-M 'P m -3 m'
_symmetry_Int_Tables_number 221
_symmetry_space_group_name_Hall '-P 4 2 3'
loop_
_atom_site_label
_atom_site_fract_x
_atom_site_fract_y
_atom_site_fract_z
Ce1 0.0000 0.0000 0.0000
Pr1 0.0000 0.5000 0.5000
```

Principal peaks in the range 10° ≤ 2θ ≤ 90°, sorted by position:
- d 3.010, intensity 100
- d 2.607, intensity 51
- d 1.843, intensity 36
- d 1.572, intensity 43
- d 1.196, intensity 18
- d 1.166, intensity 16

=====

Calculated PXRD pattern
Compound: CePr3
Radiation: Cu Kα (weighted mean of Kα1 and Kα2)
Structure: a structure optimized by DFT (PBE)

Cell and atoms:
```
data_CePr3
_chemical_formula_sum 'Ce2 Pr6'
_cell_length_a 5.3084
_cell_length_b 5.3084
_cell_length_c 10.6876
_cell_angle_alpha 90.00
_cell_angle_beta 90.00
_cell_angle_gamma 90.00
_symmetry_space_group_name_H-M 'I 4/m m m'
_symmetry_Int_Tables_number 139
_symmetry_space_group_name_Hall '-I 4 2'
loop_
_atom_site_label
_atom_site_fract_x
_atom_site_fract_y
_atom_site_fract_z
Ce1 0.0000 0.0000 0.0000
Pr1 0.0000 0.0000 0.5000
Pr2 0.0000 0.5000 0.2500
```

Principal peaks in the range 10° ≤ 2θ ≤ 90°, sorted by position:
- d 3.072, intensity 100
- d 2.672, intensity 17
- d 2.654, intensity 34
- d 1.883, intensity 25
- d 1.609, intensity 15
- d 1.602, intensity 29

=====

Calculated PXRD pattern
Compound: Ce4Pt
Radiation: Cu Kα (weighted mean of Kα1 and Kα2)
Structure: a structure optimized by DFT (PBE)

Cell and atoms:
Cell lengths 11.0034, 11.0034, 11.0034 Å; angles 90.00, 90.00, 90.00 degrees
Space group Fd-3m (No. 227, origin choice 2)
Asymmetric unit:
Ce 0.0165 0.0165 0.2335 x32
Pt 0.1250 0.1250 0.6250 x8

Principal peaks in the range 10° ≤ 2θ ≤ 90°, sorted by position:
- d 3.890, intensity 42
- d 3.176, intensity 100
- d 2.524, intensity 42
- d 2.118, intensity 38
- d 1.945, intensity 60
- d 1.659, intensity 31

=====

Calculated PXRD pattern
Compound: CePt5
Radiation: Cu Kα (weighted mean of Kα1 and Kα2)
Structure: a structure optimized by DFT (PBE)

Cell and atoms:
```
data_CePt5
_chemical_formula_sum 'Ce1 Pt5'
_cell_length_a 5.3848
_cell_length_b 5.3848
_cell_length_c 4.4561
_cell_angle_alpha 90.00
_cell_angle_beta 90.00
_cell_angle_gamma 120.00
_symmetry_space_group_name_H-M 'P 6/m m m'
_symmetry_Int_Tables_number 191
_symmetry_space_group_name_Hall '-P 6 2'
loop_
_atom_site_label
_atom_site_fract_x
_atom_site_fract_y
_atom_site_fract_z
Ce1 0.0000 0.0000 0.0000
Pt1 0.0000 0.5000 0.5000
Pt2 0.3333 0.6667 0.0000
```

Principal peaks in the range 10° ≤ 2θ ≤ 90°, sorted by position:
- d 4.663, intensity 35
- d 2.332, intensity 28
- d 2.304, intensity 100
- d 2.228, intensity 36
- d 2.066, intensity 56
- d 1.152, intensity 27

=====

Calculated PXRD pattern
Compound: Ce7Pt3
Radiation: Cu Kα (weighted mean of Kα1 and Kα2)
Structure: a structure optimized by DFT (PBE)

Cell and atoms:
```
data_Ce7Pt3
_chemical_formula_sum 'Ce14 Pt6'
_cell_length_a 9.4890
_cell_length_b 9.4890
_cell_length_c 6.2251
_cell_angle_alpha 90.00
_cell_angle_beta 90.00
_cell_angle_gamma 120.00
_symmetry_space_group_name_H-M 'P 63 m c'
_symmetry_Int_Tables_number 186
_symmetry_space_group_name_Hall 'P 6c -2c'
loop_
_atom_site_label
_atom_site_fract_x
_atom_site_fract_y
_atom_site_fract_z
Ce1 0.1335 0.2671 0.0000
Ce2 0.1994 0.3989 0.5569
Ce3 0.3333 0.6667 0.0474
Pt1 0.0176 0.5088 0.2893
```

Principal peaks in the range 10° ≤ 2θ ≤ 90°, sorted by position:
- d 2.779, intensity 33
- d 2.507, intensity 38
- d 2.481, intensity 100
- d 2.372, intensity 63
- d 1.715, intensity 22
- d 1.390, intensity 17

=====

Calculated PXRD pattern
Compound: Ce7Pt3
Radiation: Cu Kα (weighted mean of Kα1 and Kα2)
Structure: a structure optimized by DFT (PBE)

Cell and atoms:
```
data_Ce7Pt3
_chemical_formula_sum 'Ce14 Pt6'
_cell_length_a 9.9770
_cell_length_b 9.9770
_cell_length_c 6.1765
_cell_angle_alpha 90.00
_cell_angle_beta 90.00
_cell_angle_gamma 120.00
_symmetry_space_group_name_H-M 'P 63 m c'
_symmetry_Int_Tables_number 186
_symmetry_space_group_name_Hall 'P 6c -2c'
loop_
_atom_site_label
_atom_site_fract_x
_atom_site_fract_y
_atom_site_fract_z
Ce1 0.0738 0.5369 0.0000
Ce2 0.1294 0.2588 0.7181
Ce3 0.3333 0.6667 0.5323
Pt1 0.1883 0.3766 0.2662
```

Principal peaks in the range 10° ≤ 2θ ≤ 90°, sorted by position:
- d 2.908, intensity 36
- d 2.885, intensity 100
- d 2.610, intensity 77
- d 2.512, intensity 72
- d 2.494, intensity 72
- d 1.664, intensity 32

=====

Calculated PXRD pattern
Compound: Ce3Pt4
Radiation: Cu Kα (weighted mean of Kα1 and Kα2)
Structure: a structure optimized by DFT (PBE)

Cell and atoms:
```
data_Ce3Pt4
_chemical_formula_sum 'Ce18 Pt24'
_cell_length_a 13.5628
_cell_length_b 13.5628
_cell_length_c 5.7326
_cell_angle_alpha 90.00
_cell_angle_beta 90.00
_cell_angle_gamma 120.00
_symmetry_space_group_name_H-M 'R -3'
_symmetry_Int_Tables_number 148
_symmetry_space_group_name_Hall '-R 3'
loop_
_atom_site_label
_atom_site_fract_x
_atom_site_fract_y
_atom_site_fract_z
Ce1 0.0442 0.2111 0.2375
Pt1 0.0000 0.0000 0.0000
Pt2 0.0000 0.0000 0.5000
Pt3 0.0550 0.2736 0.7218
```

Principal peaks in the range 10° ≤ 2θ ≤ 90°, sorted by position:
- d 2.832, intensity 23
- d 2.563, intensity 100
- d 2.439, intensity 20
- d 2.408, intensity 73
- d 2.152, intensity 21
- d 1.755, intensity 16

=====

Calculated PXRD pattern
Compound: Ce3Sb4Pt7
Radiation: Cu Kα (weighted mean of Kα1 and Kα2)
Structure: a structure optimized by DFT (PBE)

Cell and atoms:
```
data_Ce3Sb4Pt7
_chemical_formula_sum 'Ce6 Sb8 Pt14'
_cell_length_a 16.5329
_cell_length_b 4.3672
_cell_length_c 10.2891
_cell_angle_alpha 90.00
_cell_angle_beta 128.03
_cell_angle_gamma 90.00
_symmetry_space_group_name_H-M 'C 1 2/m 1'
_symmetry_Int_Tables_number 12
loop_
_symmetry_equiv_pos_as_xyz
'x,y,z'
'-x,-y,-z'
'-x,y,-z'
'x,-y,z'
'x+1/2,y+1/2,z'
'-x+1/2,-y+1/2,-z'
'-x+1/2,y+1/2,-z'
'x+1/2,-y+1/2,z'
loop_
_atom_site_label
_atom_site_fract_x
_atom_site_fract_y
_atom_site_fract_z
Ce1 0.0000 0.0000 0.0000
Ce2 0.1712 0.5000 0.6582
Sb1 0.1355 0.0000 0.8661
Sb2 0.1742 0.5000 0.3139
Pt1 0.0000 0.0000 0.5000
Pt2 0.0108 0.5000 0.7059
Pt3 0.1253 0.0000 0.3985
Pt4 0.1745 0.5000 0.0616
```

Principal peaks in the range 10° ≤ 2θ ≤ 90°, sorted by position:
- d 2.699, intensity 29
- d 2.648, intensity 97
- d 2.635, intensity 67
- d 2.237, intensity 28
- d 2.183, intensity 100
- d 2.170, intensity 34

=====

Calculated PXRD pattern
Compound: CeSi2Pt2
Radiation: Cu Kα (weighted mean of Kα1 and Kα2)
Structure: a structure optimized by DFT (PBE)

Cell and atoms:
```
data_CeSi2Pt2
_chemical_formula_sum 'Ce2 Si4 Pt4'
_cell_length_a 4.2071
_cell_length_b 4.2071
_cell_length_c 10.0028
_cell_angle_alpha 90.00
_cell_angle_beta 90.00
_cell_angle_gamma 90.00
_symmetry_space_group_name_H-M 'I 4/m m m'
_symmetry_Int_Tables_number 139
_symmetry_space_group_name_Hall '-I 4 2'
loop_
_atom_site_label
_atom_site_fract_x
_atom_site_fract_y
_atom_site_fract_z
Ce1 0.0000 0.0000 0.0000
Si1 0.0000 0.0000 0.3820
Pt1 0.0000 0.5000 0.2500
```

Principal peaks in the range 10° ≤ 2θ ≤ 90°, sorted by position:
- d 5.001, intensity 27
- d 2.557, intensity 100
- d 2.501, intensity 18
- d 2.104, intensity 34
- d 1.610, intensity 20
- d 1.286, intensity 24